[1]
The following is a calculated powder X-ray diffraction pattern of Rb2TaCuS2. It was derived from a DFT-relaxed cell (PBE, the Materials Project), using Cu Kα (weighted mean of Kα1 and Kα2).

Top 10 peaks for 2θ from 10° to 90°, by intensity:
2θ/deg, I_rel, hkl
35.3, 100.0, 2 2 2
29.3, 79.5, 0 4 0
44.0, 55.3, 2 2 14
22.0, 53.8, 0 0 12
36.9, 51.3, 0 4 12
19.6, 48.3, 1 1 5
29.4, 46.6, 0 0 16
21.6, 45.0, 1 1 7
30.2, 36.3, 0 4 4
42.0, 34.4, 0 4 16

Structural model:
a = 5.630 Å, b = 12.186 Å, c = 48.580 Å
α = 90.00°, β = 90.00°, γ = 90.00°
Space group Fddd (No. 70, origin choice 2)
One atom of each set of equivalent atoms:
Rb 0.075 0.260 0.320 [32 per cell]
Ta 0.000 0.000 0.500 [16 per cell]
Cu 0.000 0.000 0.000 [16 per cell]
S 0.070 0.257 0.797 [32 per cell]

[2]
The following is a calculated powder X-ray diffraction pattern of CrCd3N3. It was derived from a DFT-relaxed cell (PBE, the Materials Project), using Cu Kα (weighted mean of Kα1 and Kα2).

Top 10 peaks for 2θ from 10° to 90°, by intensity:
2θ/deg, I_rel, hkl
34.4, 100.0, 2 0 1
34.1, 41.3, 0 0 2
29.8, 39.3, 2 0 0
45.9, 22.4, 2 0 2
64.4, 20.6, 2 2 2
52.9, 19.6, 2 2 0
39.8, 19.0, 2 1 0
22.5, 18.8, 1 0 1
61.2, 18.3, 2 0 3
53.3, 15.4, 2 1 2

Structural model:
a = 6.9239 Å, b = 6.9239 Å, c = 5.2654 Å
α = 90.00°, β = 90.00°, γ = 120.00°
Space group P6_3/mmc (No. 194)
One atom of each set of equivalent atoms:
Cr 0.3333 0.6667 0.2500 [2 per cell]
Cd 0.1909 0.3818 0.7500 [6 per cell]
N 0.1867 0.3734 0.2500 [6 per cell]

[3]
The following is a calculated powder X-ray diffraction pattern of HfMg6BiO8. It was derived from a DFT-relaxed cell (PBE, the Materials Project), using Cu Kα (weighted mean of Kα1 and Kα2).

Top 10 peaks for 2θ from 10° to 90°, by intensity:
2θ/deg, I_rel, hkl
26.5, 100.0, 1 0 2
20.2, 92.5, 1 0 0
33.5, 83.2, 1 1 2
16.9, 75.0, 0 0 2
41.0, 62.7, 2 0 0
54.5, 45.3, 2 0 4
34.3, 44.8, 0 0 4
28.7, 40.0, 1 1 0
49.4, 37.9, 2 1 2
40.1, 31.1, 1 0 4

Structural model:
a = 4.404 Å, b = 4.404 Å, c = 10.467 Å
α = 90.00°, β = 90.00°, γ = 90.00°
Space group P4/mmm (No. 123)
One atom of each set of equivalent atoms:
Hf 0.000 0.000 0.000 [1 per cell]
Mg 0.000 0.500 0.269 [4 per cell]
Mg 0.500 0.500 0.000 [1 per cell]
Mg 0.500 0.500 0.500 [1 per cell]
Bi 0.000 0.000 0.500 [1 per cell]
O 0.000 0.000 0.196 [2 per cell]
O 0.000 0.500 0.000 [2 per cell]
O 0.000 0.500 0.500 [2 per cell]
O 0.500 0.500 0.287 [2 per cell]

[4]
The following is a calculated powder X-ray diffraction pattern of La4Ti3S4O8. It was derived from a DFT-relaxed cell (PBE, the Materials Project), using Cu Kα (weighted mean of Kα1 and Kα2).

Top 10 peaks for 2θ from 10° to 90°, by intensity:
2θ/deg, I_rel, hkl
27.0, 100.0, 3 1 -1
30.4, 83.9, 1 1 -4
32.8, 71.3, 1 1 4
19.1, 56.9, 4 0 -1
46.6, 43.8, 0 2 0
27.2, 42.5, 4 0 -5
42.7, 39.5, 0 0 8
24.7, 35.7, 2 0 -5
38.7, 35.5, 5 1 2
41.1, 34.8, 7 1 -2

Structural model:
a = 18.647 Å, b = 3.895 Å, c = 18.023 Å
α = 90.00°, β = 110.06°, γ = 90.00°
Space group C2 (No. 5)
One atom of each set of equivalent atoms:
La 0.050 0.000 0.184 [4 per cell]
La 0.134 0.992 0.437 [4 per cell]
La 0.189 0.001 0.677 [4 per cell]
La 0.203 0.500 0.071 [4 per cell]
Ti 0.000 0.316 0.500 [2 per cell]
Ti 0.000 0.500 0.000 [2 per cell]
Ti 0.010 0.506 0.688 [4 per cell]
Ti 0.150 0.500 0.829 [4 per cell]
S 0.077 0.000 0.972 [4 per cell]
S 0.134 0.499 0.309 [4 per cell]
S 0.212 0.503 0.564 [4 per cell]
S 0.217 0.000 0.198 [4 per cell]
O 0.006 0.995 0.309 [4 per cell]
O 0.043 0.490 0.424 [4 per cell]
O 0.043 0.499 0.807 [4 per cell]
O 0.067 0.500 0.105 [4 per cell]
O 0.074 0.027 0.552 [4 per cell]
O 0.114 0.501 0.703 [4 per cell]
O 0.165 0.000 0.822 [4 per cell]
O 0.215 0.500 0.935 [4 per cell]

[5]
The following is a calculated powder X-ray diffraction pattern of Na3TiN2. It was derived from a DFT-relaxed cell (PBE, the Materials Project), using Cu Kα (weighted mean of Kα1 and Kα2).

Top 10 peaks for 2θ from 10° to 90°, by intensity:
2θ/deg, I_rel, hkl
40.9, 100.0, 4 3 1
31.8, 99.6, 4 0 0
33.8, 61.7, 4 1 1
45.6, 57.1, 4 4 0
19.3, 51.4, 2 1 1
50.0, 50.4, 5 2 3
29.7, 33.7, 3 1 2
72.3, 33.0, 8 3 1
60.5, 29.2, 7 1 2
47.1, 22.5, 4 3 3

Structural model:
a = 11.242 Å, b = 11.242 Å, c = 11.242 Å
α = 90.00°, β = 90.00°, γ = 90.00°
Space group Ia-3 (No. 206)
One atom of each set of equivalent atoms:
Na 0.085 0.162 0.895 [48 per cell]
Ti 0.148 0.148 0.148 [16 per cell]
N 0.000 0.250 0.102 [24 per cell]
N 0.250 0.250 0.250 [8 per cell]

[6]
The following is a calculated powder X-ray diffraction pattern of UC3SN2O8. It was derived from a DFT-relaxed cell (PBE, the Materials Project), using Cu Kα (weighted mean of Kα1 and Kα2).

Top 10 peaks for 2θ from 10° to 90°, by intensity:
2θ/deg, I_rel, hkl
13.0, 100.0, 1 1 -1
21.5, 42.1, 1 3 0
22.7, 41.2, 2 0 -2
16.0, 38.5, 0 2 1
11.3, 38.3, 1 1 0
18.7, 26.6, 2 0 0
16.3, 26.1, 1 1 1
12.9, 25.3, 0 2 0
35.0, 21.6, 2 4 1
19.0, 20.7, 0 0 2

Structural model:
a = 9.885 Å, b = 13.755 Å, c = 9.718 Å
α = 90.00°, β = 105.98°, γ = 90.00°
Space group C2/c (No. 15)
One atom of each set of equivalent atoms:
U 0.000 0.167 0.250 [4 per cell]
C 0.000 0.103 0.750 [4 per cell]
C 0.226 0.303 0.477 [8 per cell]
S 0.000 0.220 0.750 [4 per cell]
N 0.000 0.016 0.750 [4 per cell]
N 0.000 0.478 0.750 [4 per cell]
O 0.113 0.166 0.133 [8 per cell]
O 0.119 0.310 0.372 [8 per cell]
O 0.149 0.425 0.038 [8 per cell]
O 0.201 0.131 0.448 [8 per cell]

[7]
The following is a calculated powder X-ray diffraction pattern of Tb4CeS7. It was derived from a DFT-relaxed cell (PBE, the Materials Project), using Cu Kα (weighted mean of Kα1 and Kα2).

Top 10 peaks for 2θ from 10° to 90°, by intensity:
2θ/deg, I_rel, hkl
24.3, 100.0, 2 0 -3
23.7, 90.2, 2 0 2
32.9, 47.9, 3 1 -2
31.3, 42.2, 3 1 -1
34.0, 39.9, 3 1 1
27.5, 38.6, 4 0 -1
47.0, 34.0, 6 0 -4
26.2, 31.2, 1 1 1
41.8, 29.6, 1 1 4
38.8, 27.2, 1 1 -4

Structural model:
a = 12.982 Å, b = 3.824 Å, c = 11.691 Å
α = 90.00°, β = 104.69°, γ = 90.00°
Space group Cm (No. 8)
One atom of each set of equivalent atoms:
Tb 0.000 0.000 0.000 [2 per cell]
Tb 0.086 0.500 0.395 [2 per cell]
Tb 0.199 0.500 0.812 [2 per cell]
Tb 0.398 0.000 0.626 [2 per cell]
Ce 0.312 0.500 0.234 [2 per cell]
S 0.040 0.000 0.763 [2 per cell]
S 0.155 0.500 0.024 [2 per cell]
S 0.195 0.000 0.317 [2 per cell]
S 0.242 0.500 0.599 [2 per cell]
S 0.358 0.000 0.864 [2 per cell]
S 0.445 0.000 0.163 [2 per cell]
S 0.461 0.500 0.467 [2 per cell]

[8]
The following is a calculated powder X-ray diffraction pattern of NiP2W. It was derived from a DFT-relaxed cell (PBE, the Materials Project), using Cu Kα (weighted mean of Kα1 and Kα2).

Top 10 peaks for 2θ from 10° to 90°, by intensity:
2θ/deg, I_rel, hkl
44.7, 100.0, 1 0 4
30.7, 86.7, 1 0 0
34.6, 39.2, 1 0 2
54.5, 34.2, 1 1 0
15.7, 32.2, 0 0 2
31.7, 25.8, 0 0 4
73.1, 22.8, 2 0 4
64.5, 16.8, 1 1 4
74.8, 14.1, 1 0 8
63.8, 10.7, 2 0 0

Structural model:
a = 3.3677 Å, b = 3.3677 Å, c = 11.2728 Å
α = 90.00°, β = 90.00°, γ = 120.00°
Space group P6_3/mmc (No. 194)
One atom of each set of equivalent atoms:
Ni 0.0000 0.0000 0.2500 [2 per cell]
P 0.3333 0.6667 0.1379 [4 per cell]
W 0.0000 0.0000 0.0000 [2 per cell]

[9]
The following is a calculated powder X-ray diffraction pattern of Na3H5Se4O16. It was derived from a DFT-relaxed cell (PBE, the Materials Project), using Cu Kα (weighted mean of Kα1 and Kα2).

Top 10 peaks for 2θ from 10° to 90°, by intensity:
2θ/deg, I_rel, hkl
26.9, 100.0, 1 0 2
22.9, 93.3, 1 1 0
18.8, 90.4, 1 -1 1
20.7, 81.6, -1 1 1
25.2, 76.6, 0 2 -1
20.6, 74.7, 0 1 -2
23.9, 73.4, 1 0 -2
31.6, 71.7, 2 0 -1
17.0, 64.7, 1 -1 0
30.7, 46.8, 0 2 1

Structural model:
a = 6.028 Å, b = 7.395 Å, c = 9.210 Å
α = 105.37°, β = 92.09°, γ = 105.82°
Space group P-1 (No. 2)
One atom of each set of equivalent atoms:
Na 0.000 0.000 0.000 [1 per cell]
Na 0.192 0.370 0.419 [2 per cell]
H 0.147 0.388 0.879 [2 per cell]
H 0.415 0.125 0.638 [2 per cell]
H 0.500 0.000 0.000 [1 per cell]
Se 0.207 0.858 0.343 [2 per cell]
Se 0.331 0.673 0.826 [2 per cell]
O 0.033 0.830 0.189 [2 per cell]
O 0.108 0.757 0.803 [2 per cell]
O 0.118 0.677 0.420 [2 per cell]
O 0.261 0.079 0.465 [2 per cell]
O 0.264 0.517 0.940 [2 per cell]
O 0.424 0.563 0.672 [2 per cell]
O 0.444 0.144 0.064 [2 per cell]
O 0.470 0.844 0.270 [2 per cell]